No. 1
Computed X-ray powder pattern of Nd3YEr7 for CuKα, from a cell relaxed with PBE.
Lines closer than 0.1° are merged.

Peak list (12 most intense, 10 to 90 degrees two-theta, sorted by position)
2θ (°), d/Å, I_rel
27.28, 3.269, 13
31.55, 2.835, 76
31.69, 2.824, 22
32.01, 2.796, 89
32.17, 2.783, 25
32.39, 2.764, 100
32.66, 2.742, 41
32.89, 2.723, 17
33.09, 2.707, 46
34.85, 2.575, 21
46.42, 1.956, 18
57.83, 1.594, 14

a b c (Å): 6.490 6.678 8.579
angles (deg): 99.26 98.63 95.13
Sites, in units of the cell vectors:
Nd: 0.000 0.000 0.000
Nd: 0.198 0.562 0.163
Nd: 0.802 0.438 0.837
Y: 0.500 0.000 0.500
Er: 0.012 0.766 0.581
Er: 0.278 0.276 0.787
Er: 0.438 0.791 0.855
Er: 0.500 0.500 0.500
Er: 0.562 0.209 0.145
Er: 0.722 0.724 0.213
Er: 0.988 0.234 0.419

No. 2
Computed X-ray powder pattern of Nd4YEr2 for CuKα, from a cell relaxed with PBE.
Lines closer than 0.1° are merged.

Peak list (12 most intense, 10 to 90 degrees two-theta, sorted by position)
2θ (°), d/Å, I_rel
28.47, 3.135, 13
30.11, 2.968, 100
30.70, 2.913, 36
31.38, 2.851, 62
32.09, 2.789, 37
32.25, 2.776, 28
36.96, 2.432, 25
44.35, 2.043, 11
50.31, 1.814, 20
54.99, 1.670, 16
60.44, 1.532, 14
62.25, 1.491, 10

a b c (Å): 12.592 6.819 13.566
angles (deg): 67.10 29.92 82.98
Sites, in units of the cell vectors:
Nd: 0.018 0.982 0.123
Nd: 0.127 0.373 0.232
Nd: 0.373 0.127 0.268
Nd: 0.455 0.604 0.257
Nd: 0.566 0.993 0.646
Nd: 0.604 0.455 0.684
Nd: 0.982 0.018 0.877
Nd: 0.993 0.566 0.795
Y: 0.495 0.495 0.505
Y: 0.745 0.745 0.755
Er: 0.066 0.547 0.002
Er: 0.248 0.865 0.184
Er: 0.547 0.066 0.385
Er: 0.865 0.248 0.703

No. 3
Computed X-ray powder pattern of Nd5Y2Er5 for CuKα, from a cell relaxed with PBE.
Lines closer than 0.1° are merged.

Peak list (12 most intense, 10 to 90 degrees two-theta, sorted by position)
2θ (°), d/Å, I_rel
30.49, 2.932, 100
35.24, 2.547, 17
35.41, 2.535, 34
50.82, 1.797, 24
50.95, 1.792, 12
60.29, 1.535, 7
60.35, 1.534, 7
60.54, 1.529, 28
63.46, 1.466, 12
82.75, 1.166, 6
83.00, 1.163, 6
85.67, 1.134, 10

a b c (Å): 8.019 8.019 11.387
angles (deg): 115.09 115.09 36.84
Sites, in units of the cell vectors:
Nd: 0.000 0.000 0.000
Nd: 0.085 0.085 0.751
Nd: 0.165 0.165 0.500
Nd: 0.835 0.835 0.500
Nd: 0.915 0.915 0.249
Y: 0.417 0.417 0.752
Y: 0.583 0.583 0.248
Er: 0.249 0.249 0.248
Er: 0.332 0.332 0.999
Er: 0.500 0.500 0.500
Er: 0.668 0.668 0.001
Er: 0.751 0.751 0.752